(1)
For Sm3ZnGa2, a GGA-PBE-relaxed structure gives the computed PXRD pattern in this record (a wavelength of 1.5418 Å).
Lines closer than 0.1° are merged.

Peak list (6 most intense, 2θ from 5° to 70°, low angle first)
| 2theta | Rel. int. |
| --- | --- |
| 24.38 | 15 |
| 34.75 | 100 |
| 42.91 | 4 |
| 49.97 | 18 |
| 56.35 | 6 |
| 62.30 | 36 |

Cell and atoms:
a b c (Å): 5.165 5.165 12.635
angles (deg): 90.00 90.00 120.00
Positions (direct):
Sm  0.000  0.000  0.250
Sm  0.000  0.000  0.750
Sm  0.333  0.667  0.417
Sm  0.333  0.667  0.917
Sm  0.667  0.333  0.083
Sm  0.667  0.333  0.583
Zn  0.333  0.667  0.168
Zn  0.667  0.333  0.832
Ga  0.000  0.000  0.000
Ga  0.000  0.000  0.500
Ga  0.333  0.667  0.672
Ga  0.667  0.333  0.328

***

(2)
For Sm3Zn3Ga2, a GGA-PBE-relaxed structure gives the computed PXRD pattern in this record (a wavelength of 1.5418 Å).
Lines closer than 0.1° are merged.

Peak list (10 most intense, 2θ from 5° to 70°, low angle first)
| 2theta | Rel. int. |
| --- | --- |
| 32.43 | 100 |
| 32.77 | 61 |
| 33.66 | 27 |
| 34.50 | 22 |
| 36.24 | 20 |
| 37.08 | 27 |
| 38.38 | 19 |
| 40.36 | 41 |
| 40.52 | 38 |
| 55.34 | 16 |

Cell and atoms:
a b c (Å): 5.775 5.775 14.874
angles (deg): 90.00 90.00 134.46
Positions (direct):
Sm  0.098  0.902  0.607
Sm  0.098  0.902  0.893
Sm  0.380  0.620  0.750
Sm  0.620  0.380  0.250
Sm  0.902  0.098  0.107
Sm  0.902  0.098  0.393
Zn  0.331  0.669  0.250
Zn  0.386  0.614  0.535
Zn  0.386  0.614  0.965
Zn  0.614  0.386  0.035
Zn  0.614  0.386  0.465
Zn  0.669  0.331  0.750
Ga  0.199  0.801  0.102
Ga  0.199  0.801  0.398
Ga  0.801  0.199  0.602
Ga  0.801  0.199  0.898

***

(3)
For SmZnGa, a GGA-PBE-relaxed structure gives the computed PXRD pattern in this record (a wavelength of 1.5418 Å).
Lines closer than 0.1° are merged.

Peak list (10 most intense, 2θ from 5° to 70°, low angle first)
| 2theta | Rel. int. |
| --- | --- |
| 23.02 | 15 |
| 33.39 | 100 |
| 40.43 | 52 |
| 47.03 | 2 |
| 48.84 | 10 |
| 53.41 | 26 |
| 54.65 | 3 |
| 63.72 | 2 |
| 65.21 | 25 |
| 69.07 | 24 |

Cell and atoms:
a b c (Å): 4.462 4.462 7.459
angles (deg): 90.00 90.00 120.00
Positions (direct):
Sm  0.000  0.000  0.000
Sm  0.000  0.000  0.500
Zn  0.333  0.667  0.250
Zn  0.667  0.333  0.750
Ga  0.333  0.667  0.750
Ga  0.667  0.333  0.250

***

Copy entry 2 word for word.
For Sm3Zn3Ga2, a GGA-PBE-relaxed structure gives the computed PXRD pattern in this record (a wavelength of 1.5418 Å).
Lines closer than 0.1° are merged.

Peak list (10 most intense, 2θ from 5° to 70°, low angle first)
| 2theta | Rel. int. |
| --- | --- |
| 32.43 | 100 |
| 32.77 | 61 |
| 33.66 | 27 |
| 34.50 | 22 |
| 36.24 | 20 |
| 37.08 | 27 |
| 38.38 | 19 |
| 40.36 | 41 |
| 40.52 | 38 |
| 55.34 | 16 |

Cell and atoms:
a b c (Å): 5.775 5.775 14.874
angles (deg): 90.00 90.00 134.46
Positions (direct):
Sm  0.098  0.902  0.607
Sm  0.098  0.902  0.893
Sm  0.380  0.620  0.750
Sm  0.620  0.380  0.250
Sm  0.902  0.098  0.107
Sm  0.902  0.098  0.393
Zn  0.331  0.669  0.250
Zn  0.386  0.614  0.535
Zn  0.386  0.614  0.965
Zn  0.614  0.386  0.035
Zn  0.614  0.386  0.465
Zn  0.669  0.331  0.750
Ga  0.199  0.801  0.102
Ga  0.199  0.801  0.398
Ga  0.801  0.199  0.602
Ga  0.801  0.199  0.898